For LaYMgOs, DFT lattice parameters and positions (PBE) gives the computed powder XRD pattern in this record (copper Kα).
Lines closer than 0.1° are merged.

Largest 10 diffraction maxima, in order of rising 2θ, 10 to 90 degrees two-theta:
2θ (°)	I/Imax	index
21.2	33	1 1 1
35.0	100	2 2 0
41.3	18	3 1 1
50.3	18	4 0 0
55.2	8	3 3 1
62.8	36	4 2 2
67.1	6	5 1 1
73.9	11	4 4 0
77.9	6	5 3 1
84.5	16	6 2 0

Crystal structure
```
data_LaYMgOs
_symmetry_space_group_name_H-M 'F -4 3 m'
_symmetry_Int_Tables_number 216
_symmetry_space_group_name_Hall 'F -4 2 3'
_cell_length_a 7.253
_cell_length_b 7.253
_cell_length_c 7.253
_cell_angle_alpha 90.00
_cell_angle_beta 90.00
_cell_angle_gamma 90.00
loop_
_atom_site_label
_atom_site_type_symbol
_atom_site_fract_x
_atom_site_fract_y
_atom_site_fract_z
La1 La 0.000 0.000 0.000
Y1 Y 0.000 0.000 0.500
Mg1 Mg 0.250 0.250 0.250
Os1 Os 0.250 0.250 0.750
```